1.
Starting from a DFT-relaxed cell (PBE, Alexandria), the powder diffraction line list of Dy4Y2Sc was calculated for Cu Kα.
Kinematic intensities with the Lorentz-polarization factor, no thermal factor.

Atomic structure:
```
data_Dy4Y2Sc
_chemical_formula_sum 'Dy8 Y4 Sc2'
_cell_length_a 6.664
_cell_length_b 6.664
_cell_length_c 13.155
_cell_angle_alpha 90.00
_cell_angle_beta 90.00
_cell_angle_gamma 131.27
_space_group_name_H-M_alt 'P 1'
_space_group_IT_number 1
loop_
_space_group_symop_operation_xyz
'x,y,z'
loop_
_atom_site_label
_atom_site_type_symbol
_atom_site_fract_x
_atom_site_fract_y
_atom_site_fract_z
_atom_site_occupancy
Dy1 Dy 0.146 0.854 0.821 1
Dy2 Dy 0.246 0.754 0.575 1
Dy3 Dy 0.254 0.746 0.075 1
Dy4 Dy 0.354 0.646 0.321 1
Dy5 Dy 0.646 0.354 0.679 1
Dy6 Dy 0.746 0.254 0.925 1
Dy7 Dy 0.754 0.246 0.425 1
Dy8 Dy 0.854 0.146 0.179 1
Y1 Y 0.068 0.932 0.345 1
Y2 Y 0.432 0.568 0.845 1
Y3 Y 0.568 0.432 0.155 1
Y4 Y 0.932 0.068 0.655 1
Sc1 Sc 0.000 0.000 0.000 1
Sc2 Sc 0.500 0.500 0.500 1
```

Principal peaks in the range 2θ = 5–70°, in order of falling intensity:
2θ (°)  I/Imax
32.56  100
30.61  49
34.28  20
14.59  14
58.12  13
16.08  13
59.19  11
56.91  11
46.67  10
42.98  10

=====

2.
Starting from a DFT-relaxed cell (PBE, Alexandria), the powder diffraction line list of Dy4Y2Sc was calculated for Cu Kα.
Kinematic intensities with the Lorentz-polarization factor, no thermal factor.

Atomic structure:
```
data_Dy4Y2Sc
_chemical_formula_sum 'Dy8 Y4 Sc2'
_cell_length_a 6.140
_cell_length_b 6.456
_cell_length_c 11.317
_cell_angle_alpha 90.00
_cell_angle_beta 105.51
_cell_angle_gamma 90.00
_space_group_name_H-M_alt 'P 1'
_space_group_IT_number 1
loop_
_space_group_symop_operation_xyz
'x,y,z'
loop_
_atom_site_label
_atom_site_type_symbol
_atom_site_fract_x
_atom_site_fract_y
_atom_site_fract_z
_atom_site_occupancy
Dy1 Dy 0.042 0.250 0.369 1
Dy2 Dy 0.144 0.250 0.943 1
Dy3 Dy 0.350 0.506 0.214 1
Dy4 Dy 0.350 0.994 0.214 1
Dy5 Dy 0.650 0.006 0.786 1
Dy6 Dy 0.650 0.494 0.786 1
Dy7 Dy 0.856 0.750 0.057 1
Dy8 Dy 0.958 0.750 0.631 1
Y1 Y 0.288 0.750 0.921 1
Y2 Y 0.381 0.750 0.502 1
Y3 Y 0.619 0.250 0.498 1
Y4 Y 0.712 0.250 0.079 1
Sc1 Sc 0.161 0.250 0.665 1
Sc2 Sc 0.839 0.750 0.335 1
```

Principal peaks in the range 2θ = 5–70°, in order of falling intensity:
2θ (°)  I/Imax
32.20  100
33.71  62
33.34  55
32.27  53
31.58  42
29.09  33
28.65  25
67.07  25
43.90  20
23.46  17

=====

3.
Starting from a DFT-relaxed cell (PBE, Alexandria), the powder diffraction line list of DyY5Sc4 was calculated for Cu Kα.
Kinematic intensities with the Lorentz-polarization factor, no thermal factor.

Atomic structure:
```
data_DyY5Sc4
_chemical_formula_sum 'Dy1 Y5 Sc4'
_cell_length_a 8.510
_cell_length_b 8.510
_cell_length_c 6.830
_cell_angle_alpha 90.25
_cell_angle_beta 90.25
_cell_angle_gamma 35.98
_space_group_name_H-M_alt 'P 1'
_space_group_IT_number 1
loop_
_space_group_symop_operation_xyz
'x,y,z'
loop_
_atom_site_label
_atom_site_type_symbol
_atom_site_fract_x
_atom_site_fract_y
_atom_site_fract_z
_atom_site_occupancy
Dy1 Dy 0.000 0.000 0.000 1
Y1 Y 0.197 0.197 0.486 1
Y2 Y 0.383 0.383 0.744 1
Y3 Y 0.607 0.607 0.746 1
Y4 Y 0.794 0.794 0.004 1
Y5 Y 0.990 0.990 0.488 1
Sc1 Sc 0.196 0.196 0.998 1
Sc2 Sc 0.384 0.384 0.248 1
Sc3 Sc 0.606 0.606 0.240 1
Sc4 Sc 0.794 0.794 0.491 1
```

Principal peaks in the range 2θ = 5–70°, in order of falling intensity:
2θ (°)  I/Imax
31.73  100
32.48  97
34.11  44
34.28  26
34.44  23
49.14  18
22.02  17
59.57  16
49.26  16
60.04  16

=====

4.
Starting from a DFT-relaxed cell (PBE, Alexandria), the powder diffraction line list of Dy5Y4Sc2 was calculated for Cu Kα.
Kinematic intensities with the Lorentz-polarization factor, no thermal factor.

Atomic structure:
```
data_Dy5Y4Sc2
_chemical_formula_sum 'Dy5 Y4 Sc2'
_cell_length_a 11.073
_cell_length_b 11.073
_cell_length_c 9.016
_cell_angle_alpha 108.23
_cell_angle_beta 108.23
_cell_angle_gamma 18.79
_space_group_name_H-M_alt 'P 1'
_space_group_IT_number 1
loop_
_space_group_symop_operation_xyz
'x,y,z'
loop_
_atom_site_label
_atom_site_type_symbol
_atom_site_fract_x
_atom_site_fract_y
_atom_site_fract_z
_atom_site_occupancy
Dy1 Dy 0.000 0.000 0.000 1
Dy2 Dy 0.268 0.268 0.345 1
Dy3 Dy 0.372 0.372 0.758 1
Dy4 Dy 0.628 0.628 0.242 1
Dy5 Dy 0.732 0.732 0.655 1
Y1 Y 0.169 0.169 0.932 1
Y2 Y 0.477 0.477 0.297 1
Y3 Y 0.523 0.523 0.703 1
Y4 Y 0.831 0.831 0.068 1
Sc1 Sc 0.102 0.102 0.528 1
Sc2 Sc 0.898 0.898 0.472 1
```

Principal peaks in the range 2θ = 5–70°, in order of falling intensity:
2θ (°)  I/Imax
32.34  100
33.61  85
30.84  54
11.13  40
30.63  36
50.48  18
28.28  16
60.34  16
31.22  16
27.61  15

=====

Repeat the third record exactly.
Starting from a DFT-relaxed cell (PBE, Alexandria), the powder diffraction line list of DyY5Sc4 was calculated for Cu Kα.
Kinematic intensities with the Lorentz-polarization factor, no thermal factor.

Atomic structure:
```
data_DyY5Sc4
_chemical_formula_sum 'Dy1 Y5 Sc4'
_cell_length_a 8.510
_cell_length_b 8.510
_cell_length_c 6.830
_cell_angle_alpha 90.25
_cell_angle_beta 90.25
_cell_angle_gamma 35.98
_space_group_name_H-M_alt 'P 1'
_space_group_IT_number 1
loop_
_space_group_symop_operation_xyz
'x,y,z'
loop_
_atom_site_label
_atom_site_type_symbol
_atom_site_fract_x
_atom_site_fract_y
_atom_site_fract_z
_atom_site_occupancy
Dy1 Dy 0.000 0.000 0.000 1
Y1 Y 0.197 0.197 0.486 1
Y2 Y 0.383 0.383 0.744 1
Y3 Y 0.607 0.607 0.746 1
Y4 Y 0.794 0.794 0.004 1
Y5 Y 0.990 0.990 0.488 1
Sc1 Sc 0.196 0.196 0.998 1
Sc2 Sc 0.384 0.384 0.248 1
Sc3 Sc 0.606 0.606 0.240 1
Sc4 Sc 0.794 0.794 0.491 1
```

Principal peaks in the range 2θ = 5–70°, in order of falling intensity:
2θ (°)  I/Imax
31.73  100
32.48  97
34.11  44
34.28  26
34.44  23
49.14  18
22.02  17
59.57  16
49.26  16
60.04  16